# Mn7P6O24
Theoretical X-ray diffraction stick pattern, Cu Kα, 1.54184 Å. Input: a crystal structure in the Materials Project, relaxed with GGA+U.

Principal peaks in the range 2θ from 15° to 90°, low angle first:
Position (°2θ)	I (rel.)
20.45	21
28.55	100
28.86	26
29.54	72
29.90	24
33.30	25

Atomic structure:
```
Mn7P6O24
1.0
6.3099 0.0000 0.0000
-1.5732 8.0917 0.0000
-2.9527 -2.9954 8.5720
Mn P O
7 6 24
direct
0.0000 0.0000 0.0000
0.0475 0.7247 0.5309
0.2689 0.8061 0.2790
0.3815 0.4518 0.1146
0.6185 0.5482 0.8854
0.7311 0.1939 0.7210
0.9525 0.2753 0.4691
0.0960 0.5967 0.8325
0.2305 0.1433 0.7698
0.3991 0.2315 0.3709
0.6009 0.7685 0.6291
0.7695 0.8567 0.2302
0.9040 0.4033 0.1675
0.0201 0.1926 0.6645
0.0700 0.5584 0.6596
0.1151 0.7812 0.9199
0.1213 0.5329 0.1629
0.2084 0.9519 0.7053
0.2197 0.1900 0.9353
0.2559 0.2789 0.4715
0.2810 0.0444 0.2481
0.3127 0.5384 0.9153
0.3605 0.7607 0.5057
0.4457 0.3625 0.2894
0.4609 0.2557 0.7725
0.5391 0.7443 0.2275
0.5543 0.6375 0.7106
0.6395 0.2393 0.4943
0.6873 0.4616 0.0847
0.7190 0.9556 0.7519
0.7441 0.7211 0.5285
0.7803 0.8100 0.0647
0.7916 0.0481 0.2947
0.8787 0.4671 0.8371
0.8849 0.2188 0.0801
0.9300 0.4416 0.3404
0.9799 0.8074 0.3355
```



# MnPO4
Theoretical X-ray diffraction stick pattern, Cu Kα, 1.54184 Å. Input: a crystal structure in the Materials Project, relaxed with GGA+U.

Principal peaks in the range 2θ from 15° to 90°, low angle first:
Position (°2θ)	I (rel.)
17.67	100
24.38	87
32.56	28
34.52	21
39.02	29
39.81	23

Atomic structure:
```
MnPO4
1.0
5.2949 0.0000 0.0000
0.0000 5.9649 0.0000
-5.2199 0.0000 9.2955
Mn P O
4 4 16
direct
0.1919 0.1199 0.3595
0.1919 0.3801 0.8595
0.8081 0.6199 0.1405
0.8081 0.8801 0.6405
0.3777 0.1627 0.6335
0.3777 0.3373 0.1335
0.6223 0.6627 0.8665
0.6223 0.8373 0.3665
0.2322 0.1650 0.7276
0.2322 0.3350 0.2276
0.2691 0.1581 0.0123
0.2691 0.3419 0.5123
0.2858 0.6471 0.7728
0.2858 0.8529 0.2728
0.2896 0.5568 0.0377
0.2896 0.9432 0.5377
0.7104 0.0568 0.4623
0.7104 0.4432 0.9623
0.7142 0.1471 0.7272
0.7142 0.3529 0.2272
0.7309 0.6581 0.4877
0.7309 0.8419 0.9877
0.7678 0.6650 0.7724
0.7678 0.8350 0.2724
```



# MnP4O12
Theoretical X-ray diffraction stick pattern, Cu Kα, 1.54184 Å. Input: a crystal structure in the Materials Project, relaxed with GGA+U.

Principal peaks in the range 2θ from 15° to 90°, low angle first:
Position (°2θ)	I (rel.)
17.60	100
19.05	49
22.70	94
25.60	68
26.54	45
34.13	57

Atomic structure:
```
MnP4O12
1.0
8.3848 -6.1354 0.0000
8.3848 6.1354 0.0000
-0.7719 0.0000 5.0886
Mn P O
2 8 24
direct
0.0000 0.5000 0.0000
0.5000 0.0000 0.0000
0.1358 0.7137 0.8182
0.1964 0.4419 0.5281
0.2863 0.8642 0.1818
0.4419 0.1964 0.5281
0.5581 0.8036 0.4719
0.7137 0.1358 0.8182
0.8036 0.5581 0.4719
0.8642 0.2863 0.1818
0.0564 0.6586 0.9878
0.0603 0.8332 0.6781
0.0989 0.4101 0.6891
0.1671 0.4233 0.2335
0.1668 0.9397 0.3219
0.2159 0.5867 0.6178
0.2692 0.7308 0.0000
0.3414 0.9436 0.0122
0.3471 0.3471 0.5953
0.4101 0.0989 0.6891
0.4133 0.7841 0.3822
0.4233 0.1671 0.2335
0.5767 0.8329 0.7665
0.5867 0.2159 0.6178
0.5899 0.9011 0.3109
0.6529 0.6529 0.4047
0.6586 0.0564 0.9878
0.7308 0.2692 0.0000
0.7841 0.4133 0.3822
0.8332 0.0603 0.6781
0.8329 0.5767 0.7665
0.9011 0.5899 0.3109
0.9397 0.1668 0.3219
0.9436 0.3414 0.0122
```